No. 1
The following is a calculated powder XRD pattern of Sb2Pd7. It was derived from a crystal structure in OQMD, relaxed with GGA-PBE, using λ = 1.5418 Å (Cu Kα).
Peak positions follow from Bragg's law for the DFT cell and can differ from measured ones.

Cell and atoms:
```
9
Lattice="2.963 0.000 0.000 -1.482 2.566 0.000 0.000 0.000 27.143" Properties=species:S:1:pos:R:3 pbc="T T T"
Sb 0.000 1.711 4.918
Sb 1.482 0.855 22.225
Pd 0.000 0.000 7.069
Pd 0.000 0.000 13.571
Pd 0.000 0.000 20.074
Pd 0.000 1.711 11.438
Pd 0.000 1.711 17.862
Pd 1.482 0.855 9.281
Pd 1.482 0.855 15.705
```

Main lines, by angle (10° ≤ 2θ ≤ 80°):
2θ (°)	intensity
37.47	100
38.82	28
39.85	17
43.34	16
44.26	52
46.46	29
62.71	23
69.32	15
76.93	14
79.29	16



No. 2
The following is a calculated powder XRD pattern of Sb3Pd8. It was derived from a crystal structure in OQMD, relaxed with GGA-PBE, using λ = 1.5418 Å (Cu Kα).
Peak positions follow from Bragg's law for the DFT cell and can differ from measured ones.

Cell and atoms:
```
44
Lattice="3.839 2.216 14.496 -3.839 2.216 14.496 0.000 -4.432 14.496" Properties=species:S:1:pos:R:3 pbc="T T T"
Sb 0.000 0.000 0.000
Sb -2.441 -0.002 17.695
Sb 0.000 0.000 6.821
Sb -1.403 -2.216 24.942
Sb 0.000 0.000 13.662
Sb 1.222 -2.113 17.695
Sb 0.000 0.000 21.739
Sb -1.217 2.323 24.942
Sb 0.000 0.000 28.546
Sb 1.219 2.115 17.695
Sb 0.000 0.000 35.393
Sb 2.620 -0.107 24.942
Pd -1.992 -0.022 11.811
Pd -2.419 -0.169 14.841
Pd -1.832 -2.233 19.058
Pd -1.017 -2.702 16.331
Pd 0.000 0.000 4.131
Pd -1.423 -2.375 22.080
Pd -2.417 0.160 20.554
Pd 0.000 0.000 9.508
Pd 1.015 -1.714 11.811
Pd -2.010 0.019 23.575
Pd -1.426 -2.063 27.811
Pd -1.832 2.232 16.331
Pd 1.356 -2.011 14.841
Pd 0.000 0.000 16.319
Pd 0.000 0.000 19.075
Pd 1.070 -2.173 20.554
Pd -1.018 2.703 19.058
Pd -1.345 2.419 22.080
Pd 0.977 1.736 11.811
Pd 0.988 -1.751 23.575
Pd 0.000 0.000 25.863
Pd 1.063 2.179 14.841
Pd -1.073 2.267 27.811
Pd 0.000 0.000 31.245
Pd 2.850 -0.470 19.058
Pd 2.849 0.471 16.331
Pd 1.347 2.013 20.554
Pd 1.022 1.731 23.575
Pd 2.768 -0.045 22.080
Pd 0.000 0.000 38.060
Pd 0.000 0.000 40.821
Pd 2.500 -0.204 27.811
```

Main lines, by angle (10° ≤ 2θ ≤ 80°):
2θ (°)	intensity
35.79	15
38.93	93
39.71	20
40.71	100
44.30	17
46.48	17
57.59	14
68.54	10
72.91	11
76.60	14



No. 3
The following is a calculated powder XRD pattern of Si2Sb2Pd3. It was derived from a crystal structure in OQMD, relaxed with GGA-PBE, using λ = 1.5418 Å (Cu Kα).
Peak positions follow from Bragg's law for the DFT cell and can differ from measured ones.

Cell and atoms:
```
7
Lattice="2.183 1.261 7.961 -2.183 1.261 7.961 0.000 -2.521 7.961" Properties=species:S:1:pos:R:3 pbc="T T T"
Si 0.000 0.000 0.000
Si 0.000 0.000 11.902
Sb 0.000 0.000 5.530
Sb 0.000 0.000 17.744
Pd 0.000 0.000 2.918
Pd 0.000 0.000 8.226
Pd 0.000 0.000 14.660
```

Main lines, by angle (10° ≤ 2θ ≤ 80°):
2θ (°)	intensity
23.82	13
24.69	65
30.14	14
38.42	96
41.35	100
44.89	33
57.71	29
73.45	28
75.41	17
77.89	13



No. 4
The following is a calculated powder XRD pattern of Sr3Sb4Pd4. It was derived from a crystal structure in OQMD, relaxed with GGA-PBE, using λ = 1.5418 Å (Cu Kα).
Peak positions follow from Bragg's law for the DFT cell and can differ from measured ones.

Cell and atoms:
```
11
Lattice="4.463 0.000 0.000 0.000 4.637 0.000 0.000 0.000 13.563" Properties=species:S:1:pos:R:3 pbc="T T T"
Sr 0.000 0.000 0.000
Sr 0.000 2.319 4.107
Sr 0.000 2.319 9.456
Sb 2.232 0.000 5.219
Sb 2.232 0.000 8.344
Sb 2.232 2.319 1.444
Sb 2.232 2.319 12.119
Pd 0.000 0.000 6.782
Pd 2.232 0.000 2.594
Pd 2.232 0.000 10.969
Pd 2.232 2.319 6.782
```

Main lines, by angle (10° ≤ 2θ ≤ 80°):
2θ (°)	intensity
19.89	36
28.09	25
30.77	100
33.18	32
38.45	58
38.84	51
40.42	41
43.65	36
57.01	36
57.30	29



No. 5
The following is a calculated powder XRD pattern of Ta3Sb5Pd5. It was derived from a crystal structure in OQMD, relaxed with GGA-PBE, using λ = 1.5418 Å (Cu Kα).
Peak positions follow from Bragg's law for the DFT cell and can differ from measured ones.

Cell and atoms:
```
13
Lattice="6.861 -3.140 0.000 6.861 3.140 0.000 -6.770 0.000 6.891" Properties=species:S:1:pos:R:3 pbc="T T T"
Ta 0.000 0.000 0.000
Ta -1.334 0.017 4.133
Ta 8.286 0.017 2.758
Sb -4.027 0.056 5.623
Sb 1.548 0.025 2.864
Sb 6.861 -0.030 0.000
Sb 5.404 0.025 4.027
Sb 10.979 0.056 1.268
Pd -1.854 1.595 6.127
Pd 3.476 1.753 3.446
Pd 8.806 1.595 0.765
Pd 0.646 -1.632 4.796
Pd 6.306 -1.632 2.095
```

Main lines, by angle (10° ≤ 2θ ≤ 80°):
2θ (°)	intensity
12.90	27
16.78	31
24.85	50
24.95	41
28.86	19
40.95	100
41.23	93
41.44	44
41.63	45
58.82	17



No. 6
The following is a calculated powder XRD pattern of YSb2Pd2. It was derived from a crystal structure in OQMD, relaxed with GGA-PBE, using λ = 1.5418 Å (Cu Kα).
Peak positions follow from Bragg's law for the DFT cell and can differ from measured ones.

Cell and atoms:
```
5
Lattice="-2.192 2.192 5.780 2.192 -2.192 5.780 2.192 2.192 -5.780" Properties=species:S:1:pos:R:3 pbc="T T T"
Y 0.000 0.000 0.000
Sb 0.000 0.000 4.380
Sb 0.000 0.000 7.180
Pd 2.192 0.000 2.890
Pd 0.000 2.192 2.890
```

Main lines, by angle (10° ≤ 2θ ≤ 80°):
2θ (°)	intensity
30.90	72
32.79	100
41.19	78
42.78	63
44.28	39
52.37	32
59.67	26
62.07	26
76.18	22
79.43	24



No. 7
The following is a calculated powder XRD pattern of Zr3Sb4Pd4. It was derived from a crystal structure in OQMD, relaxed with GGA-PBE, using λ = 1.5418 Å (Cu Kα).
Peak positions follow from Bragg's law for the DFT cell and can differ from measured ones.

Cell and atoms:
```
11
Lattice="6.852 0.000 0.000 0.000 4.235 0.000 -0.150 0.000 8.019" Properties=species:S:1:pos:R:3 pbc="T T T"
Zr 0.000 0.000 0.000
Zr 0.419 2.118 3.163
Zr 3.374 0.000 7.211
Sb 1.974 2.118 0.624
Sb 2.111 0.000 4.674
Sb 5.154 2.118 6.348
Sb 5.275 0.000 2.561
Pd 1.052 2.118 6.083
Pd 2.568 0.000 2.108
Pd 4.788 2.118 1.016
Pd 6.203 0.000 5.083
```

Main lines, by angle (10° ≤ 2θ ≤ 80°):
2θ (°)	intensity
23.76	20
26.00	20
33.27	30
33.65	58
35.36	65
35.68	38
39.88	100
40.93	21
42.70	62
76.26	20



No. 8
The following is a calculated powder XRD pattern of Zr3Sb4Pd4. It was derived from a crystal structure in OQMD, relaxed with GGA-PBE, using λ = 1.5418 Å (Cu Kα).
Peak positions follow from Bragg's law for the DFT cell and can differ from measured ones.

Cell and atoms:
```
11
Lattice="-3.180 3.180 6.298 3.180 -3.180 6.298 3.180 3.180 -6.298" Properties=species:S:1:pos:R:3 pbc="T T T"
Zr 0.000 0.000 0.000
Zr 3.180 0.000 3.149
Zr 0.000 3.180 3.149
Sb 3.180 0.000 0.000
Sb 0.000 0.000 3.267
Sb 0.000 3.180 0.000
Sb 0.000 0.000 9.329
Pd 1.641 -1.641 4.686
Pd 1.539 1.539 1.612
Pd -1.641 1.641 4.686
Pd 1.641 1.641 7.910
```

Main lines, by angle (10° ≤ 2θ ≤ 80°):
2θ (°)	intensity
24.32	62
28.06	10
40.10	51
40.31	100
47.46	20
47.82	10
58.01	17
58.63	8
73.00	33
73.42	16



No. 9
The following is a calculated powder XRD pattern of Zr3Sb7Pd. It was derived from a crystal structure in OQMD, relaxed with GGA-PBE, using λ = 1.5418 Å (Cu Kα).
Peak positions follow from Bragg's law for the DFT cell and can differ from measured ones.

Cell and atoms:
```
44
Lattice="17.809 0.000 0.000 0.000 3.986 0.000 0.000 0.000 14.657" Properties=species:S:1:pos:R:3 pbc="T T T"
Zr 1.923 0.997 1.294
Zr 2.326 0.997 7.783
Zr 2.718 0.997 11.880
Zr 6.186 2.990 4.552
Zr 6.579 2.990 0.454
Zr 6.982 2.990 8.623
Zr 10.827 0.997 6.034
Zr 11.230 0.997 14.203
Zr 11.623 0.997 10.105
Zr 15.090 2.990 2.777
Zr 15.483 2.990 6.874
Zr 15.886 2.990 13.363
Sb 0.341 2.990 2.859
Sb 0.642 2.990 6.290
Sb 1.271 2.990 13.777
Sb 1.658 2.990 9.906
Sb 3.852 0.997 4.672
Sb 4.058 2.990 2.166
Sb 4.425 2.990 7.038
Sb 4.480 0.997 14.366
Sb 4.846 0.997 9.495
Sb 5.052 2.990 12.001
Sb 7.246 0.997 2.578
Sb 7.634 0.997 6.449
Sb 8.262 0.997 13.619
Sb 8.563 0.997 10.188
Sb 9.245 2.990 4.469
Sb 9.547 2.990 1.038
Sb 10.175 2.990 8.208
Sb 10.562 2.990 12.079
Sb 12.756 0.997 2.656
Sb 12.962 2.990 5.162
Sb 13.329 2.990 0.291
Sb 13.384 0.997 7.619
Sb 13.750 0.997 12.491
Sb 13.957 2.990 9.985
Sb 16.151 0.997 4.751
Sb 16.538 0.997 0.880
Sb 17.166 0.997 8.367
Sb 17.468 0.997 11.798
Pd 1.170 0.997 4.539
Pd 7.735 2.990 11.867
Pd 10.074 0.997 2.790
Pd 16.639 2.990 10.118
```

Main lines, by angle (10° ≤ 2θ ≤ 80°):
2θ (°)	intensity
30.10	21
30.72	33
32.68	34
33.60	100
35.14	14
38.30	19
38.58	34
39.82	15
39.95	11
45.51	30



No. 10
The following is a calculated powder XRD pattern of Zr2Sb3Pd. It was derived from a crystal structure in OQMD, relaxed with GGA-PBE, using λ = 1.5418 Å (Cu Kα).
Peak positions follow from Bragg's law for the DFT cell and can differ from measured ones.

Cell and atoms:
```
6
Lattice="3.964 0.000 0.000 0.000 3.964 0.000 0.000 0.000 8.681" Properties=species:S:1:pos:R:3 pbc="T T T"
Zr 0.000 1.982 2.071
Zr 1.982 0.000 6.611
Sb 0.000 1.982 7.651
Sb 1.982 0.000 1.030
Sb 1.982 1.982 4.341
Pd 0.000 0.000 4.341
```

Main lines, by angle (10° ≤ 2θ ≤ 80°):
2θ (°)	intensity
30.54	34
30.90	31
33.60	100
38.22	62
38.52	54
45.78	51
56.26	22
61.33	27
66.75	16
76.84	27



No. 11
The following is a calculated powder XRD pattern of Sc2Pd. It was derived from a crystal structure in OQMD, relaxed with GGA-PBE, using λ = 1.5418 Å (Cu Kα).
Peak positions follow from Bragg's law for the DFT cell and can differ from measured ones.

Cell and atoms:
```
9
Lattice="6.988 0.000 0.000 -3.494 6.052 0.000 0.000 0.000 4.368" Properties=species:S:1:pos:R:3 pbc="T T T"
Sc -0.904 1.566 0.000
Sc -2.057 3.563 2.184
Sc 1.808 0.000 0.000
Sc 1.437 2.489 2.184
Sc 4.114 0.000 2.184
Sc 2.590 4.486 0.000
Pd 0.000 0.000 2.184
Pd 0.000 4.034 0.000
Pd 3.494 2.017 0.000
```

Main lines, by angle (10° ≤ 2θ ≤ 80°):
2θ (°)	intensity
25.14	46
25.49	50
32.82	51
36.11	100
41.34	33
44.72	54
44.94	43
49.20	17
62.70	30
71.28	25



No. 12
The following is a calculated powder XRD pattern of Sc2PdSe4. It was derived from a crystal structure in OQMD, relaxed with GGA-PBE, using λ = 1.5418 Å (Cu Kα).
Peak positions follow from Bragg's law for the DFT cell and can differ from measured ones.

Cell and atoms:
```
14
Lattice="0.000 5.533 5.533 5.533 0.000 5.533 5.533 5.533 0.000" Properties=species:S:1:pos:R:3 pbc="T T T"
Sc 0.000 0.000 0.000
Sc 2.766 2.766 0.000
Sc 2.766 0.000 2.766
Sc 0.000 2.766 2.766
Pd 4.150 4.150 4.150
Pd 6.916 6.916 6.916
Se 8.363 5.469 5.469
Se 2.702 2.702 2.702
Se 5.597 5.597 2.702
Se 5.597 2.702 5.597
Se 5.469 8.363 5.469
Se 5.469 5.469 8.363
Se 8.363 8.363 8.363
Se 2.702 5.597 5.597
```

Main lines, by angle (10° ≤ 2θ ≤ 80°):
2θ (°)	intensity
22.73	33
26.72	49
27.93	54
32.36	48
39.91	14
42.45	28
46.42	100
55.05	23
67.74	15
77.09	13



Number 8 is which compound? Zr3Sb4Pd4



Which formula does entry 3 have? Si2Sb2Pd3



What did the fifth record say?
The following is a calculated powder XRD pattern of Ta3Sb5Pd5. It was derived from a crystal structure in OQMD, relaxed with GGA-PBE, using λ = 1.5418 Å (Cu Kα).
Peak positions follow from Bragg's law for the DFT cell and can differ from measured ones.

Cell and atoms:
```
13
Lattice="6.861 -3.140 0.000 6.861 3.140 0.000 -6.770 0.000 6.891" Properties=species:S:1:pos:R:3 pbc="T T T"
Ta 0.000 0.000 0.000
Ta -1.334 0.017 4.133
Ta 8.286 0.017 2.758
Sb -4.027 0.056 5.623
Sb 1.548 0.025 2.864
Sb 6.861 -0.030 0.000
Sb 5.404 0.025 4.027
Sb 10.979 0.056 1.268
Pd -1.854 1.595 6.127
Pd 3.476 1.753 3.446
Pd 8.806 1.595 0.765
Pd 0.646 -1.632 4.796
Pd 6.306 -1.632 2.095
```

Main lines, by angle (10° ≤ 2θ ≤ 80°):
2θ (°)	intensity
12.90	27
16.78	31
24.85	50
24.95	41
28.86	19
40.95	100
41.23	93
41.44	44
41.63	45
58.82	17